# 1
Structure and calculated X-ray powder pattern of Sm7Tm2Sc (a structure optimized by DFT (GGA-PBE); Cu Kα (λ = 1.5418 Å)).

Atomic structure:
Unit cell a=9.5268 b=9.5268 c=5.2902 alpha=90.00 beta=90.00 gamma=124.93
Positions (direct):
Sm (0.0000, 0.0000, 0.0000)
Sm (0.2132, 0.4295, 0.0000)
Sm (0.3015, 0.6985, 0.5000)
Sm (0.4295, 0.2132, 0.0000)
Sm (0.5705, 0.7868, 0.0000)
Sm (0.6985, 0.3015, 0.5000)
Sm (0.7868, 0.5705, 0.0000)
Tm (0.2037, 0.7963, 0.0000)
Tm (0.7963, 0.2037, 0.0000)
Sc (0.5000, 0.5000, 0.5000)

The 10 most intense peaks (5 to 70 degrees two-theta), sorted by position:
- 2θ 16.76, 5.290 Å, I 61
- 2θ 22.77, 3.905 Å, I 18
- 2θ 29.30, 3.048 Å, I 33
- 2θ 33.06, 2.710 Å, I 100
- 2θ 33.91, 2.644 Å, I 61
- 2θ 35.37, 2.538 Å, I 51
- 2θ 38.54, 2.336 Å, I 19
- 2θ 45.40, 1.998 Å, I 20
- 2θ 60.11, 1.539 Å, I 18
- 2θ 61.94, 1.498 Å, I 23



# 2
Structure and calculated X-ray powder pattern of Pb4Se2I5 (a structure optimized by DFT (GGA-PBE); Cu Kα (λ = 1.5418 Å)).

Atomic structure:
Unit cell a=4.5802 b=9.9563 c=11.5550 alpha=80.47 beta=89.99 gamma=76.73
Positions (direct):
Pb (0.0007, 0.0015, 0.2762)
Pb (0.3553, 0.2911, 0.9344)
Pb (0.6447, 0.7089, 0.0656)
Pb (0.9993, 0.9985, 0.7238)
Se (0.4958, 0.0108, 0.1191)
Se (0.5042, 0.9892, 0.8809)
I (0.1631, 0.6733, 0.2767)
I (0.1766, 0.6455, 0.8715)
I (0.5000, 0.0000, 0.5000)
I (0.8234, 0.3545, 0.1285)
I (0.8369, 0.3267, 0.7233)

The 10 most intense peaks (5 to 70 degrees two-theta), sorted by position:
- 2θ 7.76, 11.387 Å, I 66
- 2θ 9.26, 9.549 Å, I 25
- 2θ 13.07, 6.772 Å, I 28
- 2θ 18.89, 4.697 Å, I 16
- 2θ 24.89, 3.578 Å, I 100
- 2θ 28.03, 3.183 Å, I 44
- 2θ 31.57, 2.834 Å, I 27
- 2θ 36.21, 2.481 Å, I 52
- 2θ 39.36, 2.289 Å, I 48
- 2θ 49.00, 1.859 Å, I 19